TbZrCuHg: simulated X-ray diffraction stick pattern (Cu Kα (λ = 1.5418 Å)), based on a structure optimized by DFT (GGA-PBE).
Intensities are scaled so that the largest is 100.

Peak list (8 most intense, 2θ from 10° to 90°, sorted by position)
two_theta, Rel. int.
21.84, 18
36.04, 100
42.54, 10
51.89, 18
56.94, 5
64.80, 36
76.44, 11
87.53, 16

Unit cell a=7.049 b=7.049 c=7.049 alpha=90.00 beta=90.00 gamma=90.00
Sites, in units of the cell vectors:
Tb (0.000, 0.000, 0.000)
Tb (0.000, 0.500, 0.500)
Tb (0.500, 0.000, 0.500)
Tb (0.500, 0.500, 0.000)
Zr (0.000, 0.000, 0.500)
Zr (0.000, 0.500, 0.000)
Zr (0.500, 0.000, 0.000)
Zr (0.500, 0.500, 0.500)
Cu (0.250, 0.250, 0.250)
Cu (0.250, 0.750, 0.750)
Cu (0.750, 0.250, 0.750)
Cu (0.750, 0.750, 0.250)
Hg (0.250, 0.250, 0.750)
Hg (0.250, 0.750, 0.250)
Hg (0.750, 0.250, 0.250)
Hg (0.750, 0.750, 0.750)


PtSe2Cl8: simulated X-ray diffraction stick pattern (Cu Kα (λ = 1.5418 Å)), based on a structure optimized by DFT (GGA-PBE).
Intensities are scaled so that the largest is 100.

Peak list (8 most intense, 2θ from 10° to 90°, sorted by position)
two_theta, Rel. int.
11.05, 54
14.41, 24
15.93, 22
18.91, 100
25.01, 29
25.55, 41
27.57, 16
28.09, 24

Unit cell a=7.496 b=7.496 c=8.134 alpha=98.91 beta=98.91 gamma=55.39
Sites, in units of the cell vectors:
Pt (0.000, 0.000, 0.000)
Se (0.275, 0.275, 0.775)
Se (0.725, 0.725, 0.225)
Cl (0.113, 0.656, 0.049)
Cl (0.158, 0.158, 0.552)
Cl (0.344, 0.887, 0.951)
Cl (0.409, 0.409, 0.655)
Cl (0.591, 0.591, 0.345)
Cl (0.656, 0.113, 0.049)
Cl (0.842, 0.842, 0.448)
Cl (0.887, 0.344, 0.951)


LiPu2AgTe4: simulated X-ray diffraction stick pattern (Cu Kα (λ = 1.5418 Å)), based on a structure optimized by DFT (GGA-PBE).
Intensities are scaled so that the largest is 100.

Peak list (8 most intense, 2θ from 10° to 90°, sorted by position)
two_theta, Rel. int.
12.90, 19
23.48, 18
28.94, 100
40.54, 41
42.18, 24
50.52, 14
59.96, 13
66.76, 12

Unit cell a=7.337 b=4.454 c=7.701 alpha=90.00 beta=110.66 gamma=90.00
Sites, in units of the cell vectors:
Li (0.000, 0.000, 0.000)
Pu (0.500, 0.000, 0.500)
Pu (0.500, 0.500, 0.000)
Ag (0.000, 0.500, 0.500)
Te (0.243, 0.000, 0.749)
Te (0.244, 0.500, 0.245)
Te (0.756, 0.500, 0.755)
Te (0.757, 0.000, 0.251)


Pm2DyTm4: simulated X-ray diffraction stick pattern (Cu Kα (λ = 1.5418 Å)), based on a structure optimized by DFT (GGA-PBE).
Intensities are scaled so that the largest is 100.

Peak list (8 most intense, 2θ from 10° to 90°, sorted by position)
two_theta, Rel. int.
29.88, 35
31.20, 50
31.50, 86
31.76, 64
32.55, 28
33.46, 100
35.20, 26
49.11, 18

Unit cell a=6.035 b=8.369 c=9.450 alpha=88.45 beta=78.22 gamma=72.36
Sites, in units of the cell vectors:
Pm (0.000, 0.000, 0.000)
Pm (0.010, 0.883, 0.354)
Pm (0.160, 0.486, 0.493)
Pm (0.271, 0.041, 0.623)
Dy (0.116, 0.551, 0.124)
Dy (0.906, 0.418, 0.847)
Tm (0.275, 0.154, 0.262)
Tm (0.365, 0.625, 0.772)
Tm (0.465, 0.208, 0.906)
Tm (0.549, 0.776, 0.068)
Tm (0.603, 0.683, 0.419)
Tm (0.671, 0.362, 0.199)
Tm (0.725, 0.262, 0.550)
Tm (0.806, 0.835, 0.715)